(1)
Structure and theoretical powder diffractogram of Rb2LiAuCl6 (DFT lattice parameters and positions (PBE); Cu Kα, 1.54184 Å).

Crystal structure
a = 10.2183 Å, b = 10.2183 Å, c = 10.2183 Å
α = 90.00°, β = 90.00°, γ = 90.00°
Space group Fm-3m (No. 225)
Unique sites:
Rb: 0.2500 0.2500 0.2500 x8
Li: 0.0000 0.0000 0.0000 x4
Au: 0.0000 0.0000 0.5000 x4
Cl: 0.0000 0.0000 0.2526 x24

Main lines, in order of rising 2θ (15 to 90 degrees two-theta):
| (hkl) | two_theta | d (Å) | I/Imax |
| --- | --- | --- | --- |
| 1 1 1 | 15.0 | 5.900 | 86 |
| 2 2 0 | 24.6 | 3.613 | 100 |
| 3 1 1 | 29.0 | 3.081 | 54 |
| 4 0 0 | 35.1 | 2.555 | 77 |
| 3 3 1 | 38.4 | 2.344 | 25 |
| 4 2 2 | 43.4 | 2.086 | 47 |
| 4 4 0 | 50.5 | 1.806 | 52 |
| 6 4 2 | 68.7 | 1.365 | 25 |

=====

(2)
Structure and theoretical powder diffractogram of MgAu4Se4Cl4O12 (DFT lattice parameters and positions (PBE); Cu Kα, 1.54184 Å).

Crystal structure
a = 5.3290 Å, b = 10.0282 Å, c = 10.8995 Å
α = 82.44°, β = 86.47°, γ = 88.30°
Space group P1 (No. 1)
Unique sites:
Mg: 0.0000 0.0000 0.0000 x1
Au: 0.3010 0.7391 0.8271 x1
Au: 0.3065 0.3356 0.5075 x1
Au: 0.3259 0.3264 0.0077 x1
Au: 0.3509 0.9087 0.2139 x1
Se: 0.0795 0.1933 0.2862 x1
Se: 0.1728 0.6156 0.1200 x1
Se: 0.4538 0.0681 0.8270 x1
Se: 0.5570 0.4666 0.7358 x1
Cl: 0.0549 0.1519 0.5740 x1
Cl: 0.5535 0.5201 0.4457 x1
Cl: 0.5741 0.8175 0.6621 x1
Cl: 0.8488 0.9103 0.2047 x1
O: 0.0310 0.2621 0.1331 x1
O: 0.0524 0.6860 0.9778 x1
O: 0.2113 0.3386 0.3301 x1
O: 0.2604 0.1454 0.9397 x1
O: 0.2767 0.5552 0.7695 x1
O: 0.2767 0.9211 0.8908 x1
O: 0.3542 0.0974 0.2752 x1
O: 0.4021 0.7246 0.1482 x1
O: 0.4027 0.5011 0.0758 x1
O: 0.4057 0.3311 0.6848 x1
O: 0.6224 0.3798 0.8784 x1
O: 0.7294 0.0439 0.8908 x1

Main lines, in order of rising 2θ (15 to 90 degrees two-theta):
| (hkl) | two_theta | d (Å) | I/Imax |
| --- | --- | --- | --- |
| 1 0 0 | 16.7 | 5.318 | 100 |
| 0 1 2 | 17.7 | 5.022 | 27 |
| 0 1 -2 | 19.7 | 4.501 | 29 |
| 1 1 2 | 23.6 | 3.776 | 23 |
| 1 -2 0 | 24.8 | 3.593 | 33 |
| 0 3 1 | 27.1 | 3.289 | 21 |
| 0 3 2 | 29.8 | 3.002 | 21 |
| 1 2 -2 | 31.3 | 2.859 | 21 |

=====

(3)
Structure and theoretical powder diffractogram of MgAu4Se4Cl4O12 (DFT lattice parameters and positions (PBE); Cu Kα, 1.54184 Å).

Crystal structure
a = 4.5677 Å, b = 9.8616 Å, c = 11.3222 Å
α = 93.30°, β = 92.21°, γ = 94.24°
Space group P1 (No. 1)
Unique sites:
Mg: 0.0000 0.0000 0.0000 x1
Au: 0.8077 0.3532 0.5786 x1
Au: 0.8110 0.8454 0.6679 x1
Au: 0.8202 0.3800 0.0729 x1
Au: 0.8548 0.7768 0.2491 x1
Se: 0.0682 0.6711 0.9902 x1
Se: 0.1097 0.2576 0.8243 x1
Se: 0.5710 0.4842 0.3353 x1
Se: 0.6045 0.0840 0.1832 x1
Cl: 0.0778 0.1650 0.5534 x1
Cl: 0.3211 0.8834 0.7118 x1
Cl: 0.5273 0.8460 0.3853 x1
Cl: 0.5704 0.5522 0.6060 x1
O: 0.1464 0.3634 0.9572 x1
O: 0.1792 0.7213 0.1381 x1
O: 0.4298 0.0346 0.0519 x1
O: 0.5025 0.4012 0.1949 x1
O: 0.7454 0.5643 0.0137 x1
O: 0.7681 0.3585 0.3981 x1
O: 0.8208 0.3403 0.7567 x1
O: 0.8788 0.9624 0.1785 x1
O: 0.8870 0.5929 0.3164 x1
O: 0.8936 0.1924 0.1304 x1
O: 0.8948 0.8054 0.9448 x1
O: 0.9270 0.1150 0.8665 x1

Main lines, in order of rising 2θ (15 to 90 degrees two-theta):
| (hkl) | two_theta | d (Å) | I/Imax |
| --- | --- | --- | --- |
| 0 0 2 | 15.7 | 5.646 | 49 |
| 0 2 0 | 18.1 | 4.908 | 65 |
| 0 1 2 | 18.6 | 4.771 | 37 |
| 1 0 0 | 19.5 | 4.551 | 100 |
| 1 -1 2 | 26.4 | 3.375 | 37 |
| 1 2 0 | 27.7 | 3.217 | 56 |
| -1 2 2 | 30.4 | 2.944 | 38 |
| 0 1 4 | 33.6 | 2.670 | 35 |